Starting from a DFT-relaxed cell (GGA-PBE, OQMD), the X-ray diffraction stick pattern of Ho3Fe2Co6Ni was computed for Cu Kα, 1.54184 Å.
Lines closer than 0.1° are merged.

Most intense lines, 5° ≤ 2θ ≤ 70°, by intensity:
2θ/deg, intensity, h k l
42.76, 100.0, 1 1 6
36.11, 58.2, 1 1 0
33.31, 53.2, 1 0 7
36.39, 44.9, 0 1 8
42.12, 41.0, 0 2 1
69.52, 22.4, 3 0 6
63.16, 17.3, 2 1 7
65.12, 15.8, 1 2 8
69.96, 14.7, 2 0 14
20.95, 13.4, 1 0 1

Crystal structure
abc: 4.9747 4.9747 24.0989
angles: 90.00 90.00 120.00
Space group R-3m (No. 166, hexagonal axes)
Symmetry-distinct sites (fractional):
Ho 0.0000 0.0000 0.0000 (multiplicity 3)
Ho 0.0000 0.0000 0.1401 (multiplicity 6)
Fe 0.0000 0.0000 0.3341 (multiplicity 6)
Co 0.0018 0.5009 0.9190 (multiplicity 18)
Ni 0.0000 0.0000 0.5000 (multiplicity 3)